Record 1
# PmPr2Sm4Mg
Calculated powder diffraction line list, Cu Ka. Input: DFT lattice parameters and positions (GGA-PBE).

Atomic structure:
Unit cell a=5.0735 b=5.0545 c=10.3490 alpha=90.00 beta=90.04 gamma=90.00
Space group P2/m (No. 10)
Asymmetric unit:
Pm1 0.0000 0.0000 0.0000 [1 per cell]
Pr1 0.0000 0.0000 0.5000 [1 per cell]
Pr2 0.5000 0.5000 0.0000 [1 per cell]
Sm1 0.9997 0.5000 0.2532 [2 per cell]
Sm2 0.5000 0.0000 0.2534 [2 per cell]
Mg1 0.5000 0.5000 0.5000 [1 per cell]

Most intense lines, 10 to 90 degrees two-theta, low angle first:
- 2.944 Å, 30.36 deg, I = 100, (1 1 2)
- 2.587 Å, 34.67 deg, I = 18, (0 0 4)
- 2.537 Å, 35.38 deg, I = 17, (2 0 0)
- 2.527 Å, 35.52 deg, I = 16, (0 2 0)
- 1.811 Å, 50.38 deg, I = 12, (2 0 4)
- 1.808 Å, 50.48 deg, I = 12, (0 2 4)
- 1.790 Å, 51.01 deg, I = 12, (2 2 0)
- 1.554 Å, 59.49 deg, I = 15, (1 1 6)
- 1.532 Å, 60.43 deg, I = 14, (3 1 2)
- 1.528 Å, 60.61 deg, I = 14, (1 3 2)
- 1.472 Å, 63.15 deg, I = 12, (2 2 4)
- 1.175 Å, 82.05 deg, I = 6, (3 1 6)

Record 2
# Ce3HgRu
Calculated powder diffraction line list, Cu Ka. Input: DFT lattice parameters and positions (GGA-PBE).

Atomic structure:
Unit cell a=15.2783 b=9.9390 c=6.4921 alpha=90.00 beta=90.00 gamma=90.00
Space group Cmcm (No. 63)
Asymmetric unit:
Ce1 0.0979 0.2403 0.0008 [16 per cell]
Ce2 0.2130 0.5000 0.0000 [8 per cell]
Hg1 0.0000 0.9996 0.2500 [4 per cell]
Hg2 0.0000 0.5003 0.2500 [4 per cell]
Ru1 0.2502 0.2501 0.2500 [8 per cell]

Most intense lines, 10 to 90 degrees two-theta, low angle first:
- 3.028 Å, 29.50 deg, I = 45, (4 2 0)
- 2.718 Å, 32.96 deg, I = 12, (0 2 2)
- 2.560 Å, 35.05 deg, I = 100, (2 2 2)
- 2.485 Å, 36.15 deg, I = 43, (0 4 0)
- 2.473 Å, 36.32 deg, I = 32, (4 0 2)
- 2.266 Å, 39.78 deg, I = 35, (6 2 0)
- 2.003 Å, 45.26 deg, I = 12, (6 0 2)
- 1.753 Å, 52.18 deg, I = 22, (4 4 2)
- 1.623 Å, 56.72 deg, I = 12, (0 0 4)
- 1.449 Å, 64.30 deg, I = 17, (2 6 2)
- 1.359 Å, 69.13 deg, I = 13, (0 4 4)
- 1.320 Å, 71.50 deg, I = 12, (6 2 4)

Record 3
# LaDyPb
Calculated powder diffraction line list, Cu Ka. Input: DFT lattice parameters and positions (GGA-PBE).

Atomic structure:
Unit cell a=4.7352 b=4.7352 c=17.5749 alpha=90.00 beta=90.00 gamma=90.00
Space group I4/mmm (No. 139)
Asymmetric unit:
La1 0.0000 0.0000 0.1768 [4 per cell]
Dy1 0.0000 0.5000 0.0000 [4 per cell]
Pb1 0.0000 0.0000 0.3696 [4 per cell]

Most intense lines, 10 to 90 degrees two-theta, low angle first:
- 4.572 Å, 19.41 deg, I = 14, (1 0 1)
- 3.348 Å, 26.62 deg, I = 19, (1 1 0)
- 3.129 Å, 28.53 deg, I = 64, (1 1 2)
- 2.929 Å, 30.52 deg, I = 22, (0 0 6)
- 2.822 Å, 31.70 deg, I = 36, (1 0 5)
- 2.663 Å, 33.65 deg, I = 100, (1 1 4)
- 2.368 Å, 38.01 deg, I = 57, (2 0 0)
- 1.841 Å, 49.50 deg, I = 23, (2 0 6)
- 1.814 Å, 50.30 deg, I = 20, (2 1 5)
- 1.674 Å, 54.84 deg, I = 20, (2 2 0)
- 1.476 Å, 62.97 deg, I = 14, (3 1 2)
- 1.417 Å, 65.90 deg, I = 29, (3 1 4)